Diffraction record for La3C. The X-ray diffraction stick pattern is computed, not measured: it uses the PBE geometry in Alexandria and copper Kα.
Kinematic intensities with the Lorentz-polarization factor, no thermal factor.

Top 10 peaks for 10 to 90 degrees two-theta, in order of rising 2θ:
2theta  Rel. int.
27.09  57.4
27.88  50.7
28.31  100.0
29.38  11.7
33.79  45.0
39.26  43.8
44.74  44.0
49.58  22.6
61.19  22.6
61.43  14.2

Structure:
Cell lengths 3.454, 10.867, 6.400 Å; angles 90.00, 90.00, 90.00 degrees
Positions (direct):
La (0.000, 0.000, 0.000)
La (0.000, 0.154, 0.549)
La (0.000, 0.846, 0.549)
La (0.500, 0.346, 0.049)
La (0.500, 0.500, 0.500)
La (0.500, 0.654, 0.049)
C (0.000, 0.500, 0.202)
C (0.500, 0.000, 0.702)